Entry 1:
For PrSm3P4, a structure optimized by DFT (GGA-PBE) gives the calculated XRD peak list in this record (copper Kα).

Cell and atoms:
```
PrSm3P4
1.0
4.132 -5.841 0.000
4.132 5.841 0.000
0.000 0.000 4.134
Pr Sm P
1 3 4
Direct
0.000 0.000 0.000 Pr
0.000 0.500 0.500 Sm
0.500 0.000 0.500 Sm
0.500 0.500 0.000 Sm
0.252 0.748 0.000 P
0.254 0.254 0.500 P
0.746 0.746 0.500 P
0.748 0.252 0.000 P
```

Largest 10 diffraction maxima, low angle first, 2θ from 10° to 90°:
- 26.4 deg, rel. 81.0
- 30.6 deg, rel. 100.0
- 43.8 deg, rel. 73.4
- 51.9 deg, rel. 40.1
- 54.4 deg, rel. 25.7
- 63.7 deg, rel. 12.0
- 70.2 deg, rel. 16.2
- 72.3 deg, rel. 32.9
- 80.5 deg, rel. 24.8
- 86.5 deg, rel. 12.5

***

Entry 2:
For Tb2PrSmP4, a structure optimized by DFT (GGA-PBE) gives the calculated XRD peak list in this record (copper Kα).

Cell and atoms:
```
Tb2PrSmP4
1.0
-2.894 2.894 5.793
2.894 -2.894 5.793
2.894 2.894 -5.793
Tb Pr Sm P
2 1 1 4
Direct
0.250 0.750 0.500 Tb
0.750 0.250 0.500 Tb
0.000 0.000 0.000 Pr
0.500 0.500 0.000 Sm
0.000 0.500 0.500 P
0.252 0.252 0.000 P
0.500 0.000 0.500 P
0.748 0.748 0.000 P
```

Largest 10 diffraction maxima, low angle first, 2θ from 10° to 90°:
- 26.7 deg, rel. 83.0
- 30.9 deg, rel. 100.0
- 44.3 deg, rel. 73.3
- 52.4 deg, rel. 40.9
- 54.9 deg, rel. 25.7
- 64.4 deg, rel. 11.9
- 71.0 deg, rel. 16.5
- 73.1 deg, rel. 32.9
- 81.4 deg, rel. 24.8
- 87.6 deg, rel. 12.9

***

Entry 3:
For Pr2TeP, a structure optimized by DFT (GGA-PBE) gives the calculated XRD peak list in this record (copper Kα).

Cell and atoms:
```
Pr2TeP
1.0
4.280 0.000 0.000
0.000 6.179 0.000
0.000 0.000 8.968
Pr Te P
4 2 2
Direct
0.250 0.250 0.104 Pr
0.250 0.250 0.666 Pr
0.750 0.750 0.334 Pr
0.750 0.750 0.896 Pr
0.250 0.750 0.617 Te
0.750 0.250 0.383 Te
0.250 0.750 0.119 P
0.750 0.250 0.881 P
```

Largest 12 diffraction maxima, low angle first, 2θ from 10° to 90°:
- 25.3 deg, rel. 8.4
- 27.2 deg, rel. 10.5
- 28.9 deg, rel. 100.0
- 33.3 deg, rel. 10.8
- 40.2 deg, rel. 9.1
- 41.3 deg, rel. 48.2
- 42.2 deg, rel. 12.7
- 50.3 deg, rel. 11.5
- 52.0 deg, rel. 13.7
- 57.7 deg, rel. 8.9
- 67.8 deg, rel. 18.6
- 76.6 deg, rel. 7.7

***

Entry 4:
For Pr3Te2P, a structure optimized by DFT (GGA-PBE) gives the calculated XRD peak list in this record (copper Kα).

Cell and atoms:
```
Pr3Te2P
1.0
3.911 -6.611 0.000
3.911 6.611 0.000
-2.534 0.000 7.126
Pr Te P
6 4 2
Direct
0.000 0.500 0.000 Pr
0.139 0.283 0.496 Pr
0.283 0.139 0.996 Pr
0.500 0.000 0.500 Pr
0.717 0.861 0.004 Pr
0.861 0.717 0.504 Pr
0.260 0.740 0.750 Te
0.420 0.580 0.250 Te
0.580 0.420 0.750 Te
0.740 0.260 0.250 Te
0.089 0.911 0.250 P
0.911 0.089 0.750 P
```

Largest 12 diffraction maxima, low angle first, 2θ from 10° to 90°:
- 24.7 deg, rel. 11.4
- 28.4 deg, rel. 50.5
- 28.6 deg, rel. 100.0
- 40.2 deg, rel. 33.1
- 40.7 deg, rel. 17.9
- 41.0 deg, rel. 17.9
- 41.3 deg, rel. 37.4
- 49.5 deg, rel. 8.5
- 50.6 deg, rel. 17.9
- 51.3 deg, rel. 10.2
- 59.1 deg, rel. 13.8
- 74.1 deg, rel. 9.3

***

Entry 5:
For PrTh4P6, a structure optimized by DFT (GGA-PBE) gives the calculated XRD peak list in this record (copper Kα).

Cell and atoms:
```
PrTh4P6
1.0
5.729 3.308 4.722
-5.729 3.308 4.722
0.000 -6.616 4.722
Pr Th P
2 8 12
Direct
0.000 0.000 0.000 Pr
0.500 0.500 0.500 Pr
0.133 0.750 0.367 Th
0.250 0.250 0.250 Th
0.250 0.633 0.867 Th
0.367 0.133 0.750 Th
0.633 0.867 0.250 Th
0.750 0.367 0.133 Th
0.750 0.750 0.750 Th
0.867 0.250 0.633 Th
0.065 0.913 0.673 P
0.087 0.327 0.935 P
0.173 0.413 0.565 P
0.327 0.935 0.087 P
0.413 0.565 0.173 P
0.435 0.827 0.587 P
0.565 0.173 0.413 P
0.587 0.435 0.827 P
0.673 0.065 0.913 P
0.827 0.587 0.435 P
0.913 0.673 0.065 P
0.935 0.087 0.327 P
```

Largest 12 diffraction maxima, low angle first, 2θ from 10° to 90°:
- 21.9 deg, rel. 23.0
- 24.4 deg, rel. 79.6
- 27.0 deg, rel. 100.0
- 31.0 deg, rel. 45.2
- 33.2 deg, rel. 35.7
- 34.8 deg, rel. 29.5
- 36.7 deg, rel. 34.0
- 41.7 deg, rel. 23.0
- 47.3 deg, rel. 21.0
- 47.5 deg, rel. 34.5
- 47.6 deg, rel. 24.1
- 71.7 deg, rel. 19.9

***

Entry 6:
For Pr4ThP5, a structure optimized by DFT (GGA-PBE) gives the calculated XRD peak list in this record (copper Kα).

Cell and atoms:
```
Pr4ThP5
1.0
-4.686 4.686 2.963
4.686 -4.686 2.963
4.686 4.686 -2.963
Pr Th P
4 1 5
Direct
0.099 0.301 0.400 Pr
0.301 0.901 0.202 Pr
0.699 0.099 0.798 Pr
0.901 0.699 0.600 Pr
0.500 0.500 0.000 Th
0.000 0.000 0.000 P
0.205 0.598 0.803 P
0.402 0.205 0.607 P
0.598 0.795 0.393 P
0.795 0.402 0.197 P
```

Largest 12 diffraction maxima, low angle first, 2θ from 10° to 90°:
- 13.4 deg, rel. 2.9
- 17.7 deg, rel. 3.5
- 26.0 deg, rel. 86.3
- 30.2 deg, rel. 100.0
- 43.2 deg, rel. 74.3
- 51.1 deg, rel. 43.3
- 53.6 deg, rel. 26.2
- 62.7 deg, rel. 12.2
- 69.1 deg, rel. 17.7
- 71.1 deg, rel. 33.7
- 79.2 deg, rel. 25.2
- 85.0 deg, rel. 13.8

***

Entry 7:
For Pr3TmP4, a structure optimized by DFT (GGA-PBE) gives the calculated XRD peak list in this record (copper Kα).

Cell and atoms:
```
Pr3TmP4
1.0
7.173 0.000 0.000
0.000 8.295 0.000
-2.396 0.000 6.764
Pr Tm P
6 2 8
Direct
0.000 0.124 0.250 Pr
0.000 0.373 0.750 Pr
0.000 0.627 0.250 Pr
0.000 0.876 0.750 Pr
0.500 0.373 0.250 Pr
0.500 0.627 0.750 Pr
0.500 0.124 0.750 Tm
0.500 0.876 0.250 Tm
0.255 0.369 0.506 P
0.255 0.631 0.006 P
0.261 0.119 0.000 P
0.261 0.881 0.500 P
0.739 0.119 0.500 P
0.739 0.881 0.000 P
0.745 0.369 0.994 P
0.745 0.631 0.494 P
```

Largest 12 diffraction maxima, low angle first, 2θ from 10° to 90°:
- 26.3 deg, rel. 81.6
- 30.5 deg, rel. 100.0
- 43.7 deg, rel. 73.4
- 51.7 deg, rel. 40.6
- 54.2 deg, rel. 25.7
- 63.5 deg, rel. 11.9
- 70.0 deg, rel. 11.0
- 70.0 deg, rel. 5.5
- 72.1 deg, rel. 27.3
- 80.2 deg, rel. 14.4
- 80.3 deg, rel. 10.2
- 86.2 deg, rel. 11.2

***

Entry 8:
For PrU6P8, a structure optimized by DFT (GGA-PBE) gives the calculated XRD peak list in this record (copper Kα).

Cell and atoms:
```
PrU6P8
1.0
4.230 2.442 5.235
-4.230 2.442 5.235
0.000 -4.885 5.235
Pr U P
1 6 8
Direct
0.000 0.000 0.000 Pr
0.065 0.654 0.469 U
0.346 0.531 0.935 U
0.469 0.065 0.654 U
0.531 0.935 0.346 U
0.654 0.469 0.065 U
0.935 0.346 0.531 U
0.118 0.369 0.814 P
0.186 0.882 0.631 P
0.330 0.330 0.330 P
0.369 0.814 0.118 P
0.631 0.186 0.882 P
0.670 0.670 0.670 P
0.814 0.118 0.369 P
0.882 0.631 0.186 P
```

Largest 12 diffraction maxima, low angle first, 2θ from 10° to 90°:
- 16.9 deg, rel. 44.0
- 21.0 deg, rel. 37.5
- 25.0 deg, rel. 84.2
- 26.9 deg, rel. 40.4
- 27.1 deg, rel. 100.0
- 34.3 deg, rel. 46.5
- 36.8 deg, rel. 39.6
- 39.8 deg, rel. 33.0
- 40.5 deg, rel. 68.5
- 46.1 deg, rel. 30.3
- 50.6 deg, rel. 38.4
- 53.7 deg, rel. 33.4

***

Entry 9:
For Pr4YP5, a structure optimized by DFT (GGA-PBE) gives the calculated XRD peak list in this record (copper Kα).

Cell and atoms:
```
Pr4YP5
1.0
-4.660 4.660 2.950
4.660 -4.660 2.950
4.660 4.660 -2.950
Pr Y P
4 1 5
Direct
0.099 0.700 0.799 Pr
0.300 0.099 0.398 Pr
0.700 0.901 0.602 Pr
0.901 0.300 0.201 Pr
0.500 0.500 0.000 Y
0.000 0.000 0.000 P
0.206 0.402 0.607 P
0.402 0.794 0.196 P
0.598 0.206 0.804 P
0.794 0.598 0.393 P
```

Largest 12 diffraction maxima, low angle first, 2θ from 10° to 90°:
- 13.4 deg, rel. 1.4
- 17.8 deg, rel. 1.7
- 26.2 deg, rel. 73.1
- 30.3 deg, rel. 100.0
- 43.4 deg, rel. 73.1
- 51.4 deg, rel. 36.1
- 53.9 deg, rel. 25.5
- 63.1 deg, rel. 11.8
- 69.5 deg, rel. 14.5
- 71.6 deg, rel. 32.4
- 79.7 deg, rel. 24.2
- 85.6 deg, rel. 11.1

***

Entry 10:
For PrZn3P3, a structure optimized by DFT (GGA-PBE) gives the calculated XRD peak list in this record (copper Kα).

Cell and atoms:
```
PrZn3P3
1.0
4.059 0.000 0.000
-2.029 3.515 0.000
0.000 0.000 20.153
Pr Zn P
2 6 6
Direct
0.000 0.000 0.000 Pr
0.000 0.000 0.500 Pr
0.333 0.667 0.130 Zn
0.333 0.667 0.370 Zn
0.333 0.667 0.750 Zn
0.667 0.333 0.250 Zn
0.667 0.333 0.630 Zn
0.667 0.333 0.870 Zn
0.333 0.667 0.250 P
0.333 0.667 0.588 P
0.333 0.667 0.912 P
0.667 0.333 0.088 P
0.667 0.333 0.412 P
0.667 0.333 0.750 P
```

Largest 12 diffraction maxima, low angle first, 2θ from 10° to 90°:
- 26.9 deg, rel. 100.0
- 31.0 deg, rel. 66.5
- 33.8 deg, rel. 38.7
- 35.6 deg, rel. 31.6
- 37.0 deg, rel. 55.8
- 44.7 deg, rel. 73.6
- 52.3 deg, rel. 17.4
- 52.9 deg, rel. 15.2
- 55.4 deg, rel. 12.7
- 58.4 deg, rel. 43.7
- 59.3 deg, rel. 13.7
- 77.2 deg, rel. 12.7